Simulated powder XRD pattern of Nd3TmIr3 for Cu Kα (weighted mean of Kα1 and Kα2), from the PBE geometry in Alexandria.
Intensities are scaled so that the largest is 100.

```
14
Lattice="5.432 -4.824 0.000 5.432 4.824 0.000 -1.339 0.000 6.672" Properties=species:S:1:pos:R:3 pbc="T T T"
Nd 5.432 2.972 0.000
Nd 4.762 2.139 3.336
Nd 1.902 0.000 6.628
Nd 7.623 0.000 0.044
Nd 4.762 -2.139 3.336
Nd 5.432 -2.972 0.000
Tm 1.699 0.000 3.011
Tm 7.825 0.000 3.660
Ir 2.388 2.417 1.741
Ir -0.374 0.000 4.747
Ir 7.136 2.417 4.930
Ir 2.388 -2.417 1.741
Ir 9.899 0.000 1.924
Ir 7.136 -2.417 4.930
```

Most intense lines, 5° ≤ 2θ ≤ 70°, sorted by position:
two_theta	I/Imax
12.38	47
32.17	26
33.66	45
34.26	100
37.28	42
38.64	25
39.30	72
51.05	31

***

Simulated powder XRD pattern of Y4Pd for Cu Kα (weighted mean of Kα1 and Kα2), from the PBE geometry in Alexandria.
Intensities are scaled so that the largest is 100.

```
10
Lattice="-4.487 4.487 3.705 4.487 -4.487 3.705 4.487 4.487 -3.705" Properties=species:S:1:pos:R:3 pbc="T T T"
Y 2.649 -0.428 0.758
Y 4.058 2.649 -1.095
Y 6.324 0.428 0.758
Y 4.915 -1.837 2.947
Y 0.428 1.837 2.610
Y 1.837 -0.428 4.800
Y 4.058 1.837 2.947
Y 2.649 4.915 1.095
Pd 0.000 0.000 0.000
Pd 0.000 4.487 1.852
```

Most intense lines, 5° ≤ 2θ ≤ 70°, sorted by position:
two_theta	I/Imax
27.89	26
31.31	100
31.53	34
32.28	57
37.78	27
38.15	48
40.02	33
52.46	23